No. 1
Starting from a crystal structure in OQMD, relaxed with PBE+U, the powder XRD pattern of K2CoP4O12 was computed for Cu Kα (λ = 1.5418 Å).
Peak positions follow from Bragg's law for the DFT cell and can differ from measured ones.

Most intense lines, 10 to 80 degrees two-theta, sorted by position:
(hkl)  2θ (°)  d (Å)  I (rel.)
1 1 0  10.86  8.148  100
2 2 -1  23.08  3.854  50
1 1 -2  24.81  3.589  56
3 1 -1  26.00  3.427  34
1 3 1  26.92  3.312  45
0 4 0  28.77  3.103  47
1 3 -2  32.22  2.778  44
2 0 2  32.41  2.762  70
3 3 0  32.98  2.716  64
4 0 0  33.17  2.701  31

Cell and atoms:
Unit cell a=11.0882 b=12.4131 c=7.5494 alpha=90.00 beta=103.09 gamma=90.00
Space group Cc (No. 9)
Symmetry-distinct sites (fractional):
K  0.0000  0.1247  0.0000 x4
K  0.2043  0.3684  0.8467 x4
Co  0.3694  0.1576  0.1743 x4
P  0.0327  0.1582  0.4918 x4
P  0.1900  0.3156  0.3478 x4
P  0.2601  0.0737  0.7618 x4
P  0.4804  0.0760  0.6032 x4
O  0.0025  0.2330  0.6318 x4
O  0.0859  0.2235  0.3400 x4
O  0.1044  0.4172  0.2643 x4
O  0.1496  0.0862  0.5857 x4
O  0.2378  0.1452  0.9119 x4
O  0.2579  0.3446  0.5343 x4
O  0.2627  0.2858  0.2087 x4
O  0.2720  0.0460  0.2870 x4
O  0.3757  0.1253  0.6959 x4
O  0.4393  0.4185  0.8885 x4
O  0.4664  0.0429  0.0712 x4
O  0.4918  0.1518  0.4523 x4

No. 2
Starting from a crystal structure in OQMD, relaxed with PBE+U, the powder XRD pattern of KCoP3O9 was computed for Cu Kα (λ = 1.5418 Å).
Peak positions follow from Bragg's law for the DFT cell and can differ from measured ones.

Most intense lines, 10 to 80 degrees two-theta, sorted by position:
(hkl)  2θ (°)  d (Å)  I (rel.)
1 0 1  16.50  5.374  66
1 1 0  17.75  4.998  100
0 2 1  24.32  3.660  36
2 1 1  30.27  2.953  22
3 0 0  30.99  2.886  23
2 0 2  33.35  2.687  55
2 2 0  35.94  2.499  18
3 -2 2  38.02  2.367  20
1 3 1  39.78  2.266  20
3 1 2  46.16  1.966  31

Cell and atoms:
Unit cell a=9.9963 b=9.9963 c=6.8543 alpha=90.00 beta=90.00 gamma=120.00
Space group R3 (No. 146, hexagonal axes)
Symmetry-distinct sites (fractional):
K  0.0000  0.0000  0.0000 x3
Co  0.0000  0.0000  0.4908 x3
P  0.1096  0.7646  0.3637 x9
O  0.0589  0.7097  0.5850 x9
O  0.0790  0.8915  0.3083 x9
O  0.1871  0.0644  0.6746 x9

No. 3
Starting from a crystal structure in OQMD, relaxed with PBE+U, the powder XRD pattern of KCoP3O9 was computed for Cu Kα (λ = 1.5418 Å).
Peak positions follow from Bragg's law for the DFT cell and can differ from measured ones.

Most intense lines, 10 to 80 degrees two-theta, sorted by position:
(hkl)  2θ (°)  d (Å)  I (rel.)
1 0 0  15.52  5.711  36
1 0 2  24.05  3.701  100
1 1 1  28.59  3.122  40
2 0 0  31.32  2.856  17
1 1 2  32.83  2.728  79
1 1 4  46.43  1.956  13
3 0 0  47.78  1.904  17
2 0 4  49.25  1.850  16
2 1 4  57.08  1.614  18
2 2 2  59.14  1.562  15

Cell and atoms:
Unit cell a=6.5947 b=6.5947 c=9.7169 alpha=90.00 beta=90.00 gamma=120.00
Space group P-6c2 (No. 188)
Symmetry-distinct sites (fractional):
K  0.0000  0.0000  0.0000 x2
Co  0.3333  0.6667  0.0000 x2
P  0.4371  0.0494  0.2500 x6
O  0.0723  0.4020  0.1176 x12
O  0.4258  0.1381  0.7500 x6

No. 4
Starting from a crystal structure in OQMD, relaxed with PBE+U, the powder XRD pattern of K2CoP2O7 was computed for Cu Kα (λ = 1.5418 Å).
Peak positions follow from Bragg's law for the DFT cell and can differ from measured ones.

Most intense lines, 10 to 80 degrees two-theta, sorted by position:
(hkl)  2θ (°)  d (Å)  I (rel.)
0 0 2  15.87  5.584  32
1 1 2  22.59  3.936  24
1 0 3  26.50  3.363  12
2 0 2  27.79  3.211  44
2 1 2  30.07  2.972  100
3 1 0  36.19  2.482  31
2 1 4  41.32  2.185  11
2 2 4  46.12  1.968  10
3 1 4  49.12  1.855  31
4 2 0  52.11  1.755  14

Cell and atoms:
Unit cell a=7.8483 b=7.8483 c=11.1672 alpha=90.00 beta=90.00 gamma=90.00
Space group P4_2/mnm (No. 136)
Symmetry-distinct sites (fractional):
K  0.1476  0.1476  0.0000 x4
K  0.1860  0.1860  0.5000 x4
Co  0.0000  0.5000  0.2500 x4
P  0.1377  0.8623  0.2867 x8
O  0.0000  0.0000  0.3385 x4
O  0.0788  0.6951  0.3467 x16
O  0.1371  0.8629  0.1520 x8

No. 5
Starting from a crystal structure in OQMD, relaxed with PBE+U, the powder XRD pattern of KPrCoO3 was computed for Cu Kα (λ = 1.5418 Å).
Peak positions follow from Bragg's law for the DFT cell and can differ from measured ones.

Most intense lines, 10 to 80 degrees two-theta, sorted by position:
(hkl)  2θ (°)  d (Å)  I (rel.)
0 2 0  15.29  5.795  100
0 2 2  24.00  3.708  30
0 4 0  30.86  2.898  21
1 1 2  31.77  2.816  70
1 3 0  33.86  2.648  18
1 3 1  35.15  2.553  19
0 0 4  37.28  2.412  23
1 3 2  38.80  2.321  42
0 4 4  49.15  1.854  17
1 5 2  50.37  1.812  23

Cell and atoms:
Unit cell a=3.6355 b=11.5906 c=9.6480 alpha=90.00 beta=90.00 gamma=90.00
Space group Cmcm (No. 63)
Symmetry-distinct sites (fractional):
K  0.0000  0.2356  0.2500 x4
Pr  0.0000  0.5000  0.0000 x4
Co  0.0000  0.0385  0.7500 x4
O  0.0000  0.1176  0.5760 x8
O  0.0000  0.4498  0.7500 x4